Entry 1:
This entry pairs a crystal structure of Sr2MgHg2 with its theoretical PXRD pattern. Radiation: Cu Kα, 1.54184 Å. Structure: a cell relaxed with PBE.
Lines closer than 0.1° are merged.

Peak list (12 most intense, 2θ from 10° to 90°, by angle)
- 14.9°, rel. 26.5
- 19.4°, rel. 12.4
- 23.7°, rel. 13.9
- 30.8°, rel. 100.0
- 33.8°, rel. 23.5
- 39.4°, rel. 12.7
- 43.1°, rel. 10.8
- 43.6°, rel. 10.0
- 52.8°, rel. 13.4
- 59.8°, rel. 11.3
- 63.0°, rel. 16.7
- 66.1°, rel. 11.4

Cell and atoms:
Unit cell a=8.3922 b=8.3922 c=4.5782 alpha=90.00 beta=90.00 gamma=90.00
Space group P4/mbm (No. 127)
Symmetry-distinct sites (fractional):
Sr: 0.1679 0.3321 0.0000 (multiplicity 4)
Mg: 0.0000 0.0000 0.5000 (multiplicity 2)
Hg: 0.1354 0.6354 0.5000 (multiplicity 4)

Entry 2:
This entry pairs a crystal structure of Zr4AsAu with its theoretical PXRD pattern. Radiation: Cu Kα, 1.54184 Å. Structure: a cell relaxed with PBE.
Lines closer than 0.1° are merged.

Peak list (12 most intense, 2θ from 10° to 90°, by angle)
- 13.3°, rel. 32.4
- 18.8°, rel. 30.6
- 29.9°, rel. 15.1
- 34.0°, rel. 100.0
- 37.4°, rel. 73.2
- 38.1°, rel. 23.5
- 42.2°, rel. 56.6
- 42.8°, rel. 74.2
- 58.4°, rel. 20.2
- 65.1°, rel. 27.5
- 68.4°, rel. 30.6
- 82.9°, rel. 21.8

Cell and atoms:
Unit cell a=6.6801 b=6.6801 c=5.5811 alpha=90.00 beta=90.00 gamma=90.00
Space group P4/mcc (No. 124)
Symmetry-distinct sites (fractional):
Zr: 0.1502 0.3413 0.0000 (multiplicity 8)
As: 0.0000 0.0000 0.2500 (multiplicity 2)
Au: 0.5000 0.5000 0.2500 (multiplicity 2)

Entry 3:
This entry pairs a crystal structure of PmSiPb with its theoretical PXRD pattern. Radiation: Cu Kα, 1.54184 Å. Structure: a cell relaxed with PBE.
Lines closer than 0.1° are merged.

Peak list (12 most intense, 2θ from 10° to 90°, by angle)
- 25.2°, rel. 18.4
- 30.1°, rel. 60.0
- 31.6°, rel. 100.0
- 31.7°, rel. 78.4
- 37.1°, rel. 26.3
- 42.1°, rel. 21.3
- 47.2°, rel. 15.4
- 52.6°, rel. 26.0
- 54.6°, rel. 29.2
- 57.4°, rel. 15.2
- 58.0°, rel. 28.8
- 70.4°, rel. 18.5

Cell and atoms:
Unit cell a=4.2941 b=18.6847 c=3.8517 alpha=90.00 beta=90.00 gamma=90.00
Space group Cmcm (No. 63)
Symmetry-distinct sites (fractional):
Pm: 0.0000 0.0881 0.2500 (multiplicity 4)
Si: 0.0000 0.4617 0.2500 (multiplicity 4)
Pb: 0.0000 0.2993 0.2500 (multiplicity 4)

Entry 4:
This entry pairs a crystal structure of AcMg4Ga4 with its theoretical PXRD pattern. Radiation: Cu Kα, 1.54184 Å. Structure: a cell relaxed with PBE.
Lines closer than 0.1° are merged.

Peak list (12 most intense, 2θ from 10° to 90°, by angle)
- 16.4°, rel. 47.1
- 26.6°, rel. 24.4
- 27.1°, rel. 62.4
- 28.4°, rel. 19.4
- 31.4°, rel. 100.0
- 32.2°, rel. 49.6
- 42.7°, rel. 19.3
- 43.0°, rel. 27.5
- 43.9°, rel. 19.7
- 50.1°, rel. 18.4
- 50.6°, rel. 31.5
- 59.1°, rel. 17.4

Cell and atoms:
Unit cell a=6.6988 b=6.6988 c=9.1603 alpha=90.00 beta=90.00 gamma=90.00
Space group P4_2/nmc (No. 137, origin choice 2)
Symmetry-distinct sites (fractional):
Ac: 0.2500 0.7500 0.2500 (multiplicity 2)
Mg: 0.0044 0.2500 0.1403 (multiplicity 8)
Ga: 0.0574 0.2500 0.4409 (multiplicity 8)

Entry 5:
This entry pairs a crystal structure of Cs2NaCaCl6 with its theoretical PXRD pattern. Radiation: Cu Kα, 1.54184 Å. Structure: a cell relaxed with PBE.
Lines closer than 0.1° are merged.

Peak list (12 most intense, 2θ from 10° to 90°, by angle)
- 16.2°, rel. 20.6
- 22.9°, rel. 93.5
- 28.2°, rel. 100.0
- 32.6°, rel. 87.6
- 40.3°, rel. 43.3
- 46.8°, rel. 58.9
- 52.8°, rel. 19.9
- 55.6°, rel. 39.1
- 58.3°, rel. 19.7
- 63.5°, rel. 22.9
- 77.9°, rel. 24.8
- 87.0°, rel. 19.1

Cell and atoms:
Unit cell a=10.9707 b=10.9707 c=10.9707 alpha=90.00 beta=90.00 gamma=90.00
Space group Fm-3m (No. 225)
Symmetry-distinct sites (fractional):
Cs: 0.2500 0.2500 0.2500 (multiplicity 8)
Na: 0.0000 0.0000 0.0000 (multiplicity 4)
Ca: 0.0000 0.0000 0.5000 (multiplicity 4)
Cl: 0.0000 0.0000 0.2525 (multiplicity 24)

Entry 6:
This entry pairs a crystal structure of LaPr2Nd5Sm with its theoretical PXRD pattern. Radiation: Cu Kα, 1.54184 Å. Structure: a cell relaxed with PBE.
Lines closer than 0.1° are merged.

Peak list (12 most intense, 2θ from 10° to 90°, by angle)
- 27.8°, rel. 54.0
- 28.1°, rel. 50.5
- 29.9°, rel. 100.0
- 31.5°, rel. 14.0
- 33.5°, rel. 16.2
- 35.8°, rel. 12.6
- 36.6°, rel. 17.3
- 41.9°, rel. 21.6
- 45.0°, rel. 11.6
- 45.2°, rel. 14.0
- 50.9°, rel. 21.2
- 54.1°, rel. 13.1

Cell and atoms:
Unit cell a=8.9687 b=8.9687 c=16.0639 alpha=90.00 beta=90.00 gamma=90.00
Space group I4/mcm (No. 140)
Symmetry-distinct sites (fractional):
La: 0.0000 0.0000 0.2500 (multiplicity 4)
Pr: 0.1185 0.3815 0.0000 (multiplicity 8)
Nd: 0.0000 0.0000 0.0000 (multiplicity 4)
Nd: 0.2072 0.2928 0.3618 (multiplicity 16)
Sm: 0.0000 0.5000 0.2500 (multiplicity 4)

Entry 7:
This entry pairs a crystal structure of PrHo2Cd with its theoretical PXRD pattern. Radiation: Cu Kα, 1.54184 Å. Structure: a cell relaxed with PBE.
Lines closer than 0.1° are merged.

Peak list (12 most intense, 2θ from 10° to 90°, by angle)
- 31.6°, rel. 100.0
- 34.7°, rel. 42.9
- 40.4°, rel. 9.8
- 46.5°, rel. 5.2
- 49.9°, rel. 15.3
- 54.3°, rel. 16.2
- 57.4°, rel. 5.7
- 60.3°, rel. 31.4
- 66.1°, rel. 8.8
- 73.2°, rel. 4.8
- 82.0°, rel. 6.5
- 83.6°, rel. 6.9

Cell and atoms:
Unit cell a=3.6560 b=3.6560 c=8.9306 alpha=90.00 beta=90.00 gamma=90.00
Space group P4/mmm (No. 123)
Symmetry-distinct sites (fractional):
Pr: 0.0000 0.0000 0.0000 (multiplicity 1)
Ho: 0.5000 0.5000 0.2826 (multiplicity 2)
Cd: 0.0000 0.0000 0.5000 (multiplicity 1)

Entry 8:
This entry pairs a crystal structure of La4Nd3Y2 with its theoretical PXRD pattern. Radiation: Cu Kα, 1.54184 Å. Structure: a cell relaxed with PBE.
Lines closer than 0.1° are merged.

Peak list (12 most intense, 2θ from 10° to 90°, by angle)
- 29.6°, rel. 100.0
- 29.7°, rel. 50.0
- 29.9°, rel. 49.0
- 34.4°, rel. 33.8
- 34.5°, rel. 66.8
- 49.3°, rel. 24.2
- 49.5°, rel. 12.2
- 49.6°, rel. 23.9
- 58.7°, rel. 21.4
- 58.8°, rel. 21.3
- 58.9°, rel. 21.1
- 61.6°, rel. 12.3

Cell and atoms:
Unit cell a=6.3578 b=6.3735 c=9.7472 alpha=71.27 beta=71.37 gamma=60.11
Space group P-1 (No. 2)
Symmetry-distinct sites (fractional):
La: 0.1652 0.1687 0.0002 (multiplicity 2)
La: 0.2772 0.6115 0.6656 (multiplicity 2)
Nd: 0.3899 0.0551 0.3343 (multiplicity 2)
Nd: 0.5000 0.5000 0.0000 (multiplicity 1)
Y: 0.0549 0.7205 0.3353 (multiplicity 2)

Entry 9:
This entry pairs a crystal structure of La3Tl2In4 with its theoretical PXRD pattern. Radiation: Cu Kα, 1.54184 Å. Structure: a cell relaxed with PBE.
Lines closer than 0.1° are merged.

Peak list (12 most intense, 2θ from 10° to 90°, by angle)
- 21.9°, rel. 12.9
- 29.2°, rel. 100.0
- 32.0°, rel. 86.9
- 33.8°, rel. 38.8
- 38.5°, rel. 44.5
- 38.8°, rel. 32.6
- 39.1°, rel. 39.4
- 52.3°, rel. 22.1
- 55.8°, rel. 30.3
- 60.9°, rel. 30.4
- 64.0°, rel. 13.1
- 87.4°, rel. 12.1

Cell and atoms:
Unit cell a=8.1040 b=8.1040 c=4.6472 alpha=90.00 beta=90.00 gamma=120.00
Space group P-62m (No. 189)
Symmetry-distinct sites (fractional):
La: 0.0000 0.4003 0.0000 (multiplicity 3)
Tl: 0.3333 0.6667 0.5000 (multiplicity 2)
In: 0.0000 0.0000 0.0000 (multiplicity 1)
In: 0.0000 0.7499 0.5000 (multiplicity 3)

Entry 10:
This entry pairs a crystal structure of BaAc2Tm with its theoretical PXRD pattern. Radiation: Cu Kα, 1.54184 Å. Structure: a cell relaxed with PBE.
Lines closer than 0.1° are merged.

Peak list (12 most intense, 2θ from 10° to 90°, by angle)
- 20.0°, rel. 4.0
- 28.4°, rel. 100.0
- 35.0°, rel. 1.4
- 40.6°, rel. 19.4
- 45.7°, rel. 2.1
- 50.3°, rel. 42.2
- 58.8°, rel. 13.3
- 62.8°, rel. 1.1
- 66.6°, rel. 18.5
- 73.9°, rel. 4.6
- 81.0°, rel. 21.7
- 88.0°, rel. 2.3

Cell and atoms:
Unit cell a=8.8815 b=8.8815 c=8.8815 alpha=90.00 beta=90.00 gamma=90.00
Space group Fm-3m (No. 225)
Symmetry-distinct sites (fractional):
Ba: 0.0000 0.0000 0.0000 (multiplicity 4)
Ac: 0.2500 0.2500 0.2500 (multiplicity 8)
Tm: 0.0000 0.0000 0.5000 (multiplicity 4)

Entry 11:
This entry pairs a crystal structure of ZrCdBr with its theoretical PXRD pattern. Radiation: Cu Kα, 1.54184 Å. Structure: a cell relaxed with PBE.
Lines closer than 0.1° are merged.

Peak list (12 most intense, 2θ from 10° to 90°, by angle)
- 22.4°, rel. 14.1
- 30.5°, rel. 32.9
- 33.9°, rel. 10.2
- 35.0°, rel. 100.0
- 38.2°, rel. 25.6
- 46.2°, rel. 17.7
- 50.9°, rel. 11.4
- 54.2°, rel. 24.7
- 65.5°, rel. 8.4
- 66.1°, rel. 14.7
- 69.3°, rel. 6.6
- 73.1°, rel. 7.7

Cell and atoms:
Unit cell a=15.8693 b=3.3864 c=5.8633 alpha=90.00 beta=90.00 gamma=90.00
Space group Amm2 (No. 38)
Symmetry-distinct sites (fractional):
Zr: 0.1567 0.0000 0.0000 (multiplicity 4)
Cd: 0.0000 0.0000 0.3337 (multiplicity 2)
Cd: 0.5000 0.0000 0.0029 (multiplicity 2)
Br: 0.2782 0.0000 0.3333 (multiplicity 4)

Entry 12:
This entry pairs a crystal structure of CaC4 with its theoretical PXRD pattern. Radiation: Cu Kα, 1.54184 Å. Structure: a cell relaxed with PBE.
Lines closer than 0.1° are merged.

Peak list (12 most intense, 2θ from 10° to 90°, by angle)
- 25.3°, rel. 21.5
- 33.3°, rel. 100.0
- 36.0°, rel. 10.6
- 42.2°, rel. 43.2
- 43.5°, rel. 22.5
- 51.9°, rel. 7.9
- 56.7°, rel. 8.7
- 58.5°, rel. 19.6
- 73.3°, rel. 7.2
- 75.6°, rel. 16.6
- 80.4°, rel. 9.1
- 85.9°, rel. 8.3

Cell and atoms:
Unit cell a=3.5263 b=3.5263 c=4.1640 alpha=90.00 beta=90.00 gamma=90.00
Space group P4/mmm (No. 123)
Symmetry-distinct sites (fractional):
Ca: 0.0000 0.0000 0.0000 (multiplicity 1)
C: 0.2019 0.5000 0.5000 (multiplicity 4)